[1]
The following is a theoretical powder X-ray diffraction pattern of LiMnN. It was derived from the GGA-PBE geometry in the Materials Project, using λ = 1.5418 Å (Cu Kα).

Largest 6 diffraction maxima, by intensity, 10 to 90 degrees two-theta:
2theta  Rel. int.
33.8  100
25.8  96
42.4  44
36.2  39
24.9  31
50.8  31

Structural model:
a b c (Å): 3.577 3.737 3.737
angles (deg): 45.28 90.00 90.00
Positions (direct):
Li 0.000 0.000 0.000
Mn 0.500 0.711 0.711
N 0.000 0.709 0.709

=====

[2]
The following is a theoretical powder X-ray diffraction pattern of AlPO4. It was derived from the GGA-PBE geometry in the Materials Project, using λ = 1.5418 Å (Cu Kα).

Largest 6 diffraction maxima, by intensity, 10 to 90 degrees two-theta:
2theta  Rel. int.
25.9  100
20.3  20
48.6  14
58.2  9
65.9  8
35.5  6

Structural model:
a b c (Å): 5.055 5.055 11.162
angles (deg): 90.00 90.00 120.00
Positions (direct):
Al 0.000 0.473 0.167
Al 0.473 0.000 0.833
Al 0.527 0.527 0.500
P 0.000 0.474 0.667
P 0.474 0.000 0.333
P 0.526 0.526 0.000
O 0.137 0.720 0.765
O 0.171 0.753 0.278
O 0.247 0.418 0.612
O 0.280 0.417 0.098
O 0.417 0.280 0.902
O 0.418 0.247 0.388
O 0.582 0.829 0.945
O 0.583 0.863 0.432
O 0.720 0.137 0.235
O 0.753 0.171 0.722
O 0.829 0.582 0.055
O 0.863 0.583 0.568

=====

[3]
The following is a theoretical powder X-ray diffraction pattern of Nd2CuO4. It was derived from the GGA-PBE geometry in the Materials Project, using λ = 1.5418 Å (Cu Kα).

Largest 6 diffraction maxima, by intensity, 10 to 90 degrees two-theta:
2theta  Rel. int.
31.3  100
56.4  37
31.8  34
45.7  26
43.6  18
23.5  17

Structural model:
a b c (Å): 6.783 6.783 6.783
angles (deg): 145.93 145.93 48.95
Positions (direct):
Nd 0.150 0.150 0.000
Nd 0.850 0.850 0.000
Cu 0.500 0.500 0.000
O 0.000 0.500 0.500
O 0.250 0.750 0.500
O 0.500 0.000 0.500
O 0.750 0.250 0.500

=====

[4]
The following is a theoretical powder X-ray diffraction pattern of Rb2Ba8CaSb6O2. It was derived from the GGA-PBE geometry in the Materials Project, using λ = 1.5418 Å (Cu Kα).

Largest 6 diffraction maxima, by intensity, 10 to 90 degrees two-theta:
2theta  Rel. int.
26.0  100
26.8  49
30.7  39
29.6  29
25.0  21
33.6  19

Structural model:
a b c (Å): 10.688 9.393 10.925
angles (deg): 62.94 51.51 65.55
Positions (direct):
Rb 0.238 0.762 0.762
Rb 0.762 0.238 0.238
Ba 0.051 0.438 0.251
Ba 0.224 0.630 0.370
Ba 0.265 0.996 0.004
Ba 0.438 0.051 0.260
Ba 0.630 0.224 0.776
Ba 0.740 0.749 0.562
Ba 0.749 0.740 0.949
Ba 0.996 0.265 0.735
Ca 0.409 0.409 0.591
Sb 0.003 0.003 0.497
Sb 0.096 0.412 0.904
Sb 0.412 0.096 0.588
Sb 0.503 0.503 0.997
Sb 0.640 0.640 0.360
Sb 0.866 0.866 0.134
O 0.505 0.996 0.004
O 0.996 0.505 0.495

=====

[5]
The following is a theoretical powder X-ray diffraction pattern of Na2Sb4O7. It was derived from the GGA-PBE geometry in the Materials Project, using λ = 1.5418 Å (Cu Kα).

Largest 6 diffraction maxima, by intensity, 10 to 90 degrees two-theta:
2theta  Rel. int.
28.8  100
17.7  67
20.2  53
27.7  49
20.9  39
31.1  34

Structural model:
a b c (Å): 10.309 10.309 5.770
angles (deg): 104.77 104.77 113.40
Positions (direct):
Na 0.004 0.820 0.917
Na 0.180 0.996 0.583
Na 0.820 0.004 0.417
Na 0.996 0.180 0.083
Sb 0.098 0.617 0.317
Sb 0.227 0.364 0.743
Sb 0.364 0.227 0.243
Sb 0.383 0.902 0.183
Sb 0.617 0.098 0.817
Sb 0.636 0.773 0.757
Sb 0.773 0.636 0.257
Sb 0.902 0.383 0.683
O 0.007 0.270 0.504
O 0.114 0.483 0.969
O 0.191 0.809 0.250
O 0.195 0.221 0.924
O 0.221 0.195 0.424
O 0.270 0.007 0.004
O 0.483 0.114 0.469
O 0.517 0.886 0.531
O 0.730 0.993 0.996
O 0.779 0.805 0.576
O 0.805 0.779 0.076
O 0.809 0.191 0.750
O 0.886 0.517 0.031
O 0.993 0.730 0.496